[1]
# Ga40AgMo8
Calculated powder diffraction line list, Cu Kα (weighted mean of Kα1 and Kα2). Input: a crystal structure in Alexandria, relaxed with PBE.
Peak positions follow from Bragg's law for the DFT cell and can differ from measured ones.

Atomic structure:
Cell lengths 14.0922, 14.0922, 15.2373 Å; angles 90.00, 90.00, 120.00 degrees
Space group R-3 (No. 148, hexagonal axes)
Inequivalent atoms, fractional coordinates:
Ga  0.0000  0.0000  0.0000
Ga  0.0000  0.5000  0.5000
Ga  0.0024  0.1856  0.2828
Ga  0.0100  0.8851  0.1605
Ga  0.0126  0.6942  0.2671
Ga  0.0147  0.1643  0.6133
Ga  0.0190  0.5357  0.1606
Ga  0.0929  0.5340  0.6710
Ag  0.0000  0.0000  0.5000
Mo  0.0000  0.0000  0.2969
Mo  0.0166  0.7094  0.0969

Main lines, most intense first (10 to 90 degrees two-theta):
- 2θ 43.95, intensity 100.0, hkl 2 2 6
- 2θ 44.54, intensity 73.7, hkl 6 0 0
- 2θ 39.96, intensity 63.3, hkl 5 -2 4
- 2θ 30.89, intensity 53.9, hkl 4 -2 3
- 2θ 41.92, intensity 51.2, hkl 0 4 5
- 2θ 39.80, intensity 48.4, hkl 3 1 5
- 2θ 38.16, intensity 42.6, hkl 1 4 3
- 2θ 41.63, intensity 39.9, hkl 6 -1 1
- 2θ 21.85, intensity 36.5, hkl 3 0 0
- 2θ 39.52, intensity 34.8, hkl 6 -4 1


[2]
# NaGa12Ag7
Calculated powder diffraction line list, Cu Kα (weighted mean of Kα1 and Kα2). Input: a crystal structure in Alexandria, relaxed with PBE.
Peak positions follow from Bragg's law for the DFT cell and can differ from measured ones.

Atomic structure:
Cell lengths 9.7408, 9.7408, 9.7408 Å; angles 90.00, 90.00, 90.00 degrees
Space group Im-3 (No. 204)
Inequivalent atoms, fractional coordinates:
Na  0.0000  0.0000  0.0000
Ga  0.0000  0.2579  0.3579
Ag  0.0000  0.0000  0.5000
Ag  0.2500  0.2500  0.2500

Main lines, most intense first (10 to 90 degrees two-theta):
- 2θ 45.63, intensity 100.0, hkl 4 2 2
- 2θ 12.85, intensity 79.9, hkl 1 1 0
- 2θ 25.87, intensity 55.8, hkl 2 2 0
- 2θ 36.91, intensity 50.8, hkl 4 0 0
- 2θ 72.63, intensity 48.6, hkl 6 2 4
- 2θ 41.46, intensity 38.3, hkl 4 2 0
- 2θ 34.45, intensity 28.1, hkl 3 1 2
- 2θ 47.60, intensity 14.4, hkl 5 0 1
- 2θ 39.24, intensity 12.7, hkl 3 3 0
- 2θ 60.07, intensity 11.7, hkl 6 2 0


[3]
# NaGa3Ag10
Calculated powder diffraction line list, Cu Kα (weighted mean of Kα1 and Kα2). Input: a crystal structure in Alexandria, relaxed with PBE.
Peak positions follow from Bragg's law for the DFT cell and can differ from measured ones.

Atomic structure:
Cell lengths 13.0483, 13.0483, 13.0483 Å; angles 90.00, 90.00, 90.00 degrees
Space group Fm-3m (No. 225)
Inequivalent atoms, fractional coordinates:
Na  0.2500  0.2500  0.2500
Ga  0.0000  0.0000  0.2310
Ag  0.0000  0.1731  0.3269
Ag  0.1204  0.1204  0.1204

Main lines, most intense first (10 to 90 degrees two-theta):
- 2θ 35.76, intensity 100.0, hkl 3 3 3
- 2θ 40.92, intensity 54.8, hkl 5 3 1
- 2θ 19.24, intensity 35.1, hkl 2 2 0
- 2θ 39.05, intensity 32.7, hkl 4 4 0
- 2θ 41.52, intensity 25.7, hkl 6 0 0
- 2θ 46.15, intensity 21.6, hkl 6 2 2
- 2θ 70.74, intensity 21.5, hkl 8 4 4
- 2θ 65.13, intensity 14.6, hkl 9 1 1
- 2θ 60.18, intensity 14.4, hkl 6 6 0
- 2θ 85.10, intensity 13.1, hkl 9 5 5